# Eu2Ni12P5
Calculated powder X-ray diffraction pattern, copper Kα. Input: a cell relaxed with PBE.
Neutral-atom scattering factors, no anomalous dispersion.

Structural model:
Cell: 10.9115 3.6491 13.1910 Å, 90.00 107.92 90.00°
Space group P2_1/m (No. 11)
Symmetry-distinct sites (fractional):
1 Eu 0.2194 0.2500 0.1827 x2
2 Eu 0.2540 0.2500 0.6881 x2
3 Ni 0.0609 0.7500 0.2962 x2
4 Ni 0.0777 0.7500 0.9901 x2
5 Ni 0.0812 0.7500 0.4907 x2
6 Ni 0.0949 0.7500 0.8051 x2
7 Ni 0.2008 0.2500 0.4180 x2
8 Ni 0.2125 0.2500 0.9385 x2
9 Ni 0.3435 0.7500 0.0605 x2
10 Ni 0.3441 0.7500 0.3654 x2
11 Ni 0.4276 0.2500 0.5141 x2
12 Ni 0.4335 0.2500 0.9489 x2
13 Ni 0.4912 0.7500 0.6514 x2
14 Ni 0.4949 0.7500 0.8416 x2
15 P 0.0061 0.2500 0.8782 x2
16 P 0.0093 0.7500 0.6293 x2
17 P 0.3001 0.7500 0.5174 x2
18 P 0.3107 0.7500 0.8861 x2
19 P 0.4487 0.7500 0.2394 x2

Peak list (6 most intense, 5 to 70 degrees two-theta, most intense first)
2θ/deg, I_rel
37.78, 100
42.75, 44
35.76, 41
49.99, 40
35.46, 18
32.24, 17